Diffraction record for NiC8N6. The powder X-ray diffraction pattern is theoretical, not measured: it uses a DFT-relaxed cell (PBE, Alexandria) and a wavelength of 1.5418 Å.
Peak positions follow from Bragg's law for the DFT cell and can differ from measured ones.

Main lines, in order of falling intensity (10 to 90 degrees two-theta):
- 2θ 21.96, intensity 100
- 2θ 21.44, intensity 79
- 2θ 26.53, intensity 66
- 2θ 13.81, intensity 48
- 2θ 24.51, intensity 47
- 2θ 14.60, intensity 38
- 2θ 33.85, intensity 27
- 2θ 44.79, intensity 19
- 2θ 38.35, intensity 14
- 2θ 37.42, intensity 13

Crystal structure
```
NiC8N6
1.0
6.885 0.000 0.000
0.000 5.434 0.000
0.000 0.000 12.823
Ni C N
2 16 12
Direct
0.000 0.000 0.000 Ni
0.500 0.000 0.500 Ni
0.000 0.372 0.363 C
0.000 0.443 0.715 C
0.000 0.557 0.285 C
0.000 0.628 0.637 C
0.172 0.274 0.403 C
0.172 0.726 0.597 C
0.328 0.274 0.097 C
0.328 0.726 0.903 C
0.500 0.372 0.137 C
0.500 0.443 0.785 C
0.500 0.557 0.215 C
0.500 0.628 0.863 C
0.672 0.274 0.097 C
0.672 0.726 0.903 C
0.828 0.274 0.403 C
0.828 0.726 0.597 C
0.000 0.290 0.779 N
0.000 0.710 0.221 N
0.191 0.189 0.057 N
0.191 0.811 0.943 N
0.309 0.189 0.443 N
0.309 0.811 0.557 N
0.500 0.290 0.721 N
0.500 0.710 0.279 N
0.691 0.189 0.443 N
0.691 0.811 0.557 N
0.809 0.189 0.057 N
0.809 0.811 0.943 N
```